Calculated PXRD pattern of Li2Mg3H8 for copper Kα, from a PBE-relaxed structure.
Neutral-atom scattering factors, no anomalous dispersion.

Largest 12 diffraction maxima, sorted by position, 10 to 90 degrees two-theta:
2theta	intensity	hkl
19.2	1000	0 2 1
20.2	370	1 1 1
27.1	357	0 2 2
30.3	289	1 3 1
34.2	186	2 2 0
36.0	623	2 2 1
36.9	297	0 2 3
37.6	405	2 0 2
39.0	253	0 4 2
44.4	243	2 4 0
44.7	151	0 0 4
64.8	226	2 4 4

Crystal structure
Cell: 5.9354 11.2304 8.1130 Å, 90.00 90.00 90.00°
Space group Cmce (No. 64)
Asymmetric unit:
Li1 0.0000 0.1170 0.1095 (multiplicity 8)
Mg1 0.0000 0.0000 0.5000 (multiplicity 4)
Mg2 0.2500 0.1476 0.7500 (multiplicity 8)
H1 0.0000 0.0181 0.7419 (multiplicity 8)
H2 0.0000 0.2475 0.2469 (multiplicity 8)
H3 0.2400 0.1175 0.5169 (multiplicity 16)


Calculated PXRD pattern of Sm4NpSb5 for copper Kα, from a PBE-relaxed structure.
Neutral-atom scattering factors, no anomalous dispersion.

Largest 12 diffraction maxima, sorted by position, 10 to 90 degrees two-theta:
2theta	intensity	hkl
24.5	45	0 1 5
28.3	1000	1 0 5
40.5	767	2 0 0
47.9	25	1 1 10
50.1	275	2 2 0
58.6	129	0 4 0
66.3	236	3 0 5
66.4	118	1 4 5
73.6	218	3 2 5
73.7	44	2 4 0
87.5	14	0 0 20
87.6	72	4 0 0

Crystal structure
Cell: 4.4568 6.2976 22.3067 Å, 90.00 90.00 90.00°
Space group Immm (No. 71)
Asymmetric unit:
Sm1 0.0000 0.0000 0.1007 (multiplicity 4)
Sm2 0.0000 0.0000 0.2998 (multiplicity 4)
Np1 0.0000 0.0000 0.5000 (multiplicity 2)
Sb1 0.0000 0.5000 0.0979 (multiplicity 4)
Sb2 0.0000 0.5000 0.2995 (multiplicity 4)
Sb3 0.0000 0.5000 0.5000 (multiplicity 2)


Calculated PXRD pattern of Ca2GeSb for copper Kα, from a PBE-relaxed structure.
Neutral-atom scattering factors, no anomalous dispersion.

Largest 12 diffraction maxima, sorted by position, 10 to 90 degrees two-theta:
2theta	intensity	hkl
17.9	60	1 0 0
20.8	120	0 0 1
25.4	151	1 1 0
33.0	1000	1 1 1
36.2	388	2 0 0
42.1	83	2 0 1
42.3	123	0 0 2
52.1	131	2 2 0
56.8	198	2 0 2
63.0	286	3 1 1
69.2	107	2 2 2
71.4	97	1 1 3

Crystal structure
Cell: 4.9674 4.9674 4.2747 Å, 90.00 90.00 90.00°
Space group P4/mmm (No. 123)
Asymmetric unit:
Ca1 0.0000 0.5000 0.0000 (multiplicity 2)
Ge1 0.0000 0.0000 0.5000 (multiplicity 1)
Sb1 0.5000 0.5000 0.5000 (multiplicity 1)


Calculated PXRD pattern of TiB6N6 for copper Kα, from a PBE-relaxed structure.
Neutral-atom scattering factors, no anomalous dispersion.

Largest 12 diffraction maxima, sorted by position, 10 to 90 degrees two-theta:
2theta	intensity	hkl
19.5	1000	1 0 0
34.1	256	1 1 1
39.5	491	2 0 0
44.4	473	2 0 1
48.9	930	2 1 1
61.0	172	2 2 1
68.2	97	3 1 1
71.7	40	2 2 2
75.1	67	3 2 0
78.5	369	3 1 2
85.1	127	4 0 0
88.4	86	4 1 0

Crystal structure
Cell: 4.5589 4.5589 4.5589 Å, 90.00 90.00 90.00°
Space group Pm-3 (No. 200)
Asymmetric unit:
Ti1 0.0000 0.0000 0.0000 (multiplicity 1)
B1 0.0000 0.2402 0.5000 (multiplicity 6)
N1 0.0000 0.5000 0.2506 (multiplicity 6)